(1)
Starting from a structure optimized by DFT (PBE), the XRD peak list of Rb11CdHg2 was calculated for λ = 1.5418 Å (Cu Kα).
Peak positions follow from Bragg's law for the DFT cell and can differ from measured ones.

Structure:
```
data_Rb11CdHg2
_chemical_formula_sum 'Rb44 Cd4 Hg8'
_space_group_name_H-M_alt 'I b a m'
_space_group_IT_number 72
_space_group_name_Hall '-I 2 2c'
_cell_length_a 13.8215
_cell_length_b 17.6096
_cell_length_c 18.7020
_cell_angle_alpha 90.00
_cell_angle_beta 90.00
_cell_angle_gamma 90.00
loop_
_atom_site_label
_atom_site_type_symbol
_atom_site_fract_x
_atom_site_fract_y
_atom_site_fract_z
Rb1 Rb 0.0000 0.0000 0.0000
Rb2 Rb 0.1085 0.3060 0.1582
Rb3 Rb 0.1286 0.2198 0.5000
Rb4 Rb 0.2145 0.4432 0.3703
Cd1 Cd 0.0000 0.5000 0.2500
Hg1 Hg 0.1408 0.1769 0.0000
```

Principal peaks in the range 5 to 70 degrees two-theta, sorted by position:
| two_theta | d [Å] | I (rel.) |
| --- | --- | --- |
| 9.46 | 9.351 | 44 |
| 12.49 | 7.090 | 100 |
| 12.83 | 6.902 | 50 |
| 13.81 | 6.410 | 31 |
| 14.56 | 6.083 | 48 |
| 25.15 | 3.541 | 69 |
| 25.60 | 3.480 | 62 |
| 26.37 | 3.379 | 55 |
| 27.71 | 3.219 | 76 |
| 27.83 | 3.206 | 40 |

---

(2)
Starting from a structure optimized by DFT (PBE), the XRD peak list of Rb2Cd15Hg2 was calculated for λ = 1.5418 Å (Cu Kα).
Peak positions follow from Bragg's law for the DFT cell and can differ from measured ones.

Structure:
```
data_Rb2Cd15Hg2
_chemical_formula_sum 'Rb6 Cd45 Hg6'
_space_group_name_H-M_alt 'R -3 m'
_space_group_IT_number 166
_space_group_name_Hall '-R 3 2"'
_cell_length_a 10.5764
_cell_length_b 10.5764
_cell_length_c 15.3126
_cell_angle_alpha 90.00
_cell_angle_beta 90.00
_cell_angle_gamma 120.00
loop_
_atom_site_label
_atom_site_type_symbol
_atom_site_fract_x
_atom_site_fract_y
_atom_site_fract_z
Rb1 Rb 0.0000 0.0000 0.1603
Cd1 Cd 0.0000 0.2962 0.5000
Cd2 Cd 0.0000 0.5000 0.0000
Cd3 Cd 0.0044 0.5022 0.6516
Hg1 Hg 0.0000 0.0000 0.3986
```

Principal peaks in the range 5 to 70 degrees two-theta, sorted by position:
| two_theta | d [Å] | I (rel.) |
| --- | --- | --- |
| 11.26 | 7.861 | 50 |
| 29.25 | 3.053 | 43 |
| 30.43 | 2.937 | 37 |
| 33.90 | 2.644 | 76 |
| 34.22 | 2.620 | 79 |
| 35.21 | 2.549 | 63 |
| 38.34 | 2.348 | 100 |
| 39.21 | 2.297 | 46 |
| 60.66 | 1.527 | 29 |
| 62.49 | 1.486 | 27 |

---

(3)
Starting from a structure optimized by DFT (PBE), the XRD peak list of RbCd6Hg was calculated for λ = 1.5418 Å (Cu Kα).
Peak positions follow from Bragg's law for the DFT cell and can differ from measured ones.

Structure:
```
data_RbCd6Hg
_chemical_formula_sum 'Rb3 Cd18 Hg3'
_space_group_name_H-M_alt 'R -3 m'
_space_group_IT_number 166
_space_group_name_Hall '-R 3 2"'
_cell_length_a 4.9454
_cell_length_b 4.9454
_cell_length_c 33.0391
_cell_angle_alpha 90.00
_cell_angle_beta 90.00
_cell_angle_gamma 120.00
loop_
_atom_site_label
_atom_site_type_symbol
_atom_site_fract_x
_atom_site_fract_y
_atom_site_fract_z
Rb1 Rb 0.0000 0.0000 0.0000
Cd1 Cd 0.0000 0.0000 0.1298
Cd2 Cd 0.0000 0.0000 0.2452
Cd3 Cd 0.0000 0.0000 0.4094
Hg1 Hg 0.0000 0.0000 0.5000
```

Principal peaks in the range 5 to 70 degrees two-theta, sorted by position:
| two_theta | d [Å] | I (rel.) |
| --- | --- | --- |
| 8.03 | 11.013 | 86 |
| 30.06 | 2.973 | 85 |
| 36.33 | 2.473 | 100 |
| 36.54 | 2.459 | 40 |
| 37.27 | 2.413 | 15 |
| 47.85 | 1.901 | 23 |
| 49.55 | 1.840 | 20 |
| 61.53 | 1.507 | 21 |
| 65.37 | 1.428 | 17 |
| 65.50 | 1.425 | 14 |

---

(4)
Starting from a structure optimized by DFT (PBE), the XRD peak list of Rb3Cd2Hg9 was calculated for λ = 1.5418 Å (Cu Kα).
Peak positions follow from Bragg's law for the DFT cell and can differ from measured ones.

Structure:
```
data_Rb3Cd2Hg9
_chemical_formula_sum 'Rb6 Cd4 Hg18'
_space_group_name_H-M_alt 'I m m m'
_space_group_IT_number 71
_space_group_name_Hall '-I 2 2'
_cell_length_a 5.1478
_cell_length_b 11.5419
_cell_length_c 15.3209
_cell_angle_alpha 90.00
_cell_angle_beta 90.00
_cell_angle_gamma 90.00
loop_
_atom_site_label
_atom_site_type_symbol
_atom_site_fract_x
_atom_site_fract_y
_atom_site_fract_z
Rb1 Rb 0.0000 0.0000 0.0000
Rb2 Rb 0.0000 0.0000 0.3059
Cd1 Cd 0.0000 0.2095 0.5000
Hg1 Hg 0.0000 0.2855 0.1330
Hg2 Hg 0.0000 0.3617 0.3340
Hg3 Hg 0.0000 0.5000 0.0000
```

Principal peaks in the range 5 to 70 degrees two-theta, sorted by position:
| two_theta | d [Å] | I (rel.) |
| --- | --- | --- |
| 15.35 | 5.771 | 33 |
| 18.88 | 4.701 | 38 |
| 27.96 | 3.191 | 37 |
| 28.99 | 3.080 | 60 |
| 29.09 | 3.070 | 100 |
| 31.29 | 2.859 | 44 |
| 34.86 | 2.574 | 69 |
| 35.14 | 2.553 | 35 |
| 36.17 | 2.484 | 33 |
| 37.49 | 2.399 | 87 |

---

(5)
Starting from a structure optimized by DFT (PBE), the XRD peak list of RbCd3Hg6 was calculated for λ = 1.5418 Å (Cu Kα).
Peak positions follow from Bragg's law for the DFT cell and can differ from measured ones.

Structure:
```
data_RbCd3Hg6
_chemical_formula_sum 'Rb1 Cd3 Hg6'
_space_group_name_H-M_alt 'P 1'
_space_group_IT_number 1
_space_group_name_Hall 'P 1'
_cell_length_a 6.4602
_cell_length_b 6.9410
_cell_length_c 8.0032
_cell_angle_alpha 66.03
_cell_angle_beta 69.16
_cell_angle_gamma 66.13
loop_
_atom_site_label
_atom_site_type_symbol
_atom_site_fract_x
_atom_site_fract_y
_atom_site_fract_z
Rb1 Rb 0.0000 0.0000 0.0000
Cd1 Cd 0.2927 0.2901 0.1404
Cd2 Cd 0.5651 0.5679 0.7971
Cd3 Cd 0.8028 0.4697 0.4264
Hg1 Hg 0.0238 0.9781 0.4666
Hg2 Hg 0.0589 0.5658 0.8138
Hg3 Hg 0.2609 0.4895 0.4317
Hg4 Hg 0.5322 0.9551 0.4485
Hg5 Hg 0.5484 0.1354 0.7541
Hg6 Hg 0.5952 0.7064 0.0958
```

Principal peaks in the range 5 to 70 degrees two-theta, sorted by position:
| two_theta | d [Å] | I (rel.) |
| --- | --- | --- |
| 28.86 | 3.094 | 42 |
| 29.57 | 3.021 | 32 |
| 30.08 | 2.971 | 55 |
| 30.82 | 2.902 | 49 |
| 32.46 | 2.758 | 100 |
| 35.67 | 2.517 | 60 |
| 37.04 | 2.427 | 42 |
| 37.92 | 2.373 | 63 |
| 38.28 | 2.351 | 36 |
| 39.81 | 2.264 | 38 |

---

(6)
Starting from a structure optimized by DFT (PBE), the XRD peak list of RbCd6Hg12 was calculated for λ = 1.5418 Å (Cu Kα).
Peak positions follow from Bragg's law for the DFT cell and can differ from measured ones.

Structure:
```
data_RbCd6Hg12
_chemical_formula_sum 'Rb1 Cd6 Hg12'
_space_group_name_H-M_alt 'P -1'
_space_group_IT_number 2
_space_group_name_Hall '-P 1'
_cell_length_a 8.2387
_cell_length_b 8.2814
_cell_length_c 9.2714
_cell_angle_alpha 65.53
_cell_angle_beta 64.38
_cell_angle_gamma 71.72
loop_
_atom_site_label
_atom_site_type_symbol
_atom_site_fract_x
_atom_site_fract_y
_atom_site_fract_z
Rb1 Rb 0.0000 0.0000 0.0000
Cd1 Cd 0.2444 0.1176 0.2327
Cd2 Cd 0.3270 0.5216 0.4648
Cd3 Cd 0.4475 0.6964 0.7979
Hg1 Hg 0.0510 0.2584 0.5566
Hg2 Hg 0.1657 0.8352 0.6229
Hg3 Hg 0.1820 0.5290 0.1646
Hg4 Hg 0.1938 0.4137 0.8673
Hg5 Hg 0.4206 0.8015 0.1070
Hg6 Hg 0.4260 0.1150 0.6378
```

Principal peaks in the range 5 to 70 degrees two-theta, sorted by position:
| two_theta | d [Å] | I (rel.) |
| --- | --- | --- |
| 28.87 | 3.092 | 11 |
| 29.21 | 3.058 | 11 |
| 32.16 | 2.784 | 91 |
| 33.12 | 2.705 | 100 |
| 33.83 | 2.650 | 11 |
| 34.25 | 2.618 | 15 |
| 37.17 | 2.419 | 14 |
| 37.40 | 2.404 | 11 |
| 39.16 | 2.300 | 18 |
| 41.31 | 2.186 | 12 |

---

(7)
Starting from a structure optimized by DFT (PBE), the XRD peak list of RbCd5Hg7 was calculated for λ = 1.5418 Å (Cu Kα).
Peak positions follow from Bragg's law for the DFT cell and can differ from measured ones.

Structure:
```
data_RbCd5Hg7
_chemical_formula_sum 'Rb2 Cd10 Hg14'
_space_group_name_H-M_alt 'C 1 m 1'
_space_group_IT_number 8
_space_group_name_Hall 'C -2y'
_cell_length_a 12.1071
_cell_length_b 10.9432
_cell_length_c 6.1370
_cell_angle_alpha 90.00
_cell_angle_beta 120.27
_cell_angle_gamma 90.00
loop_
_atom_site_label
_atom_site_type_symbol
_atom_site_fract_x
_atom_site_fract_y
_atom_site_fract_z
Rb1 Rb 0.0000 0.0000 0.0000
Cd1 Cd 0.2468 0.0000 0.7439
Cd2 Cd 0.2568 0.2495 0.5051
Cd3 Cd 0.2568 0.2503 0.0074
Hg1 Hg 0.0057 0.3456 0.0055
Hg2 Hg 0.0095 0.1966 0.5090
Hg3 Hg 0.1420 0.5000 0.6483
Hg4 Hg 0.2763 0.5000 0.2810
Hg5 Hg 0.3478 0.0000 0.3429
```

Principal peaks in the range 5 to 70 degrees two-theta, sorted by position:
| two_theta | d [Å] | I (rel.) |
| --- | --- | --- |
| 28.47 | 3.136 | 54 |
| 29.10 | 3.068 | 41 |
| 33.32 | 2.689 | 93 |
| 33.48 | 2.676 | 29 |
| 33.81 | 2.651 | 63 |
| 34.30 | 2.614 | 36 |
| 37.09 | 2.424 | 33 |
| 37.76 | 2.382 | 100 |
| 38.32 | 2.349 | 49 |
| 60.81 | 1.523 | 29 |

---

(8)
Starting from a structure optimized by DFT (PBE), the XRD peak list of Rb2Cd3Hg6 was calculated for λ = 1.5418 Å (Cu Kα).
Peak positions follow from Bragg's law for the DFT cell and can differ from measured ones.

Structure:
```
data_Rb2Cd3Hg6
_chemical_formula_sum 'Rb2 Cd3 Hg6'
_space_group_name_H-M_alt 'P -6 2 m'
_space_group_IT_number 189
_space_group_name_Hall 'P -6 -2'
_cell_length_a 8.9668
_cell_length_b 8.9668
_cell_length_c 5.3260
_cell_angle_alpha 90.00
_cell_angle_beta 90.00
_cell_angle_gamma 120.00
loop_
_atom_site_label
_atom_site_type_symbol
_atom_site_fract_x
_atom_site_fract_y
_atom_site_fract_z
Rb1 Rb 0.3333 0.6667 0.0000
Cd1 Cd 0.0000 0.3329 0.5000
Hg1 Hg 0.0000 0.1953 0.0000
Hg2 Hg 0.0000 0.6638 0.5000
```

Principal peaks in the range 5 to 70 degrees two-theta, sorted by position:
| two_theta | d [Å] | I (rel.) |
| --- | --- | --- |
| 11.39 | 7.766 | 29 |
| 25.98 | 3.430 | 100 |
| 30.46 | 2.935 | 34 |
| 33.66 | 2.663 | 42 |
| 34.65 | 2.589 | 37 |
| 34.90 | 2.571 | 43 |
| 38.68 | 2.328 | 49 |
| 46.02 | 1.972 | 22 |
| 49.08 | 1.856 | 28 |
| 57.03 | 1.615 | 37 |